[1]
Calculated PXRD pattern
Compound: Pm5MgBi4
Radiation: Cu Kα X-rays
Structure: the PBE geometry in Alexandria
No peak broadening, texture or thermal motion is included.

Crystal structure
Cell lengths 7.9318, 7.9318, 7.9318 Å; angles 99.55, 99.55, 131.93 degrees
Element x y z (fractional)
Pm1 0.0000 0.0000 0.0000
Pm2 0.1881 0.6065 0.7933
Pm3 0.3949 0.1881 0.5816
Pm4 0.6065 0.8132 0.4184
Pm5 0.8132 0.3949 0.2067
Mg1 0.4999 0.4999 0.0000
Bi1 0.1036 0.2985 0.4007
Bi2 0.2985 0.8978 0.1949
Bi3 0.7029 0.1036 0.8051
Bi4 0.8978 0.7029 0.5993

Main lines, most intense first (10 to 90 degrees two-theta):
d (Å)	2θ (°)	I_rel
3.237	27.6	100
2.289	39.4	78
1.869	48.7	28
1.448	64.3	24
1.322	71.3	18
1.445	64.5	12
1.320	71.5	9
1.620	56.8	9
5.465	16.2	8
7.244	12.2	7



[2]
Calculated PXRD pattern
Compound: Tm3ZnOs
Radiation: Cu Kα X-rays
Structure: the PBE geometry in Alexandria
No peak broadening, texture or thermal motion is included.

Crystal structure
Cell lengths 9.1390, 8.4389, 5.6587 Å; angles 78.09, 64.62, 37.29 degrees
Element x y z (fractional)
Tm1 0.1971 0.1971 0.8029
Tm2 0.2090 0.5776 0.4224
Tm3 0.4224 0.7910 0.2090
Tm4 0.5776 0.2090 0.7910
Tm5 0.7910 0.4224 0.5776
Tm6 0.8029 0.8029 0.1971
Zn1 0.1954 0.8046 0.8046
Zn2 0.8046 0.1954 0.1954
Os1 0.2500 0.2500 0.2500
Os2 0.7500 0.7500 0.7500

Main lines, most intense first (10 to 90 degrees two-theta):
d (Å)	2θ (°)	I_rel
2.477	36.3	100
2.763	32.4	59
2.687	33.3	53
2.450	36.7	50
7.833	11.3	46
2.173	41.6	40
2.283	39.5	36
1.563	59.1	23
4.708	18.8	16
1.570	58.8	15



[3]
Calculated PXRD pattern
Compound: K2TlSbH
Radiation: Cu Kα X-rays
Structure: the PBE geometry in Alexandria
No peak broadening, texture or thermal motion is included.

Crystal structure
Cell lengths 7.2549, 5.5430, 8.5718 Å; angles 90.00, 107.23, 90.00 degrees
Element x y z (fractional)
K1 0.1283 0.2500 0.3724
K2 0.2505 0.2500 0.9319
K3 0.7495 0.7500 0.0681
K4 0.8717 0.7500 0.6276
Tl1 0.4286 0.7500 0.3332
Tl2 0.5714 0.2500 0.6668
Sb1 0.3814 0.7500 0.6889
Sb2 0.6186 0.2500 0.3111
H1 0.1474 0.7500 0.1856
H2 0.8526 0.2500 0.8144

Main lines, most intense first (10 to 90 degrees two-theta):
d (Å)	2θ (°)	I_rel
6.929	12.8	100
2.732	32.8	58
2.938	30.4	47
8.187	10.8	46
3.294	27.1	40
2.571	34.9	37
2.772	32.3	33
3.564	25.0	26
2.132	42.4	17
1.945	46.7	17



[4]
Calculated PXRD pattern
Compound: Sc3Al7Au4
Radiation: Cu Kα X-rays
Structure: the PBE geometry in Alexandria
No peak broadening, texture or thermal motion is included.

Crystal structure
Cell lengths 8.1045, 8.1045, 9.5767 Å; angles 125.40, 125.40, 30.19 degrees
Element x y z (fractional)
Sc1 0.0000 0.0000 0.0000
Sc2 0.3090 0.3090 0.3092
Sc3 0.6910 0.6910 0.6908
Al1 0.0000 0.0000 0.5000
Al2 0.1543 0.1543 0.4287
Al3 0.3238 0.3238 0.9691
Al4 0.4947 0.4947 0.6922
Al5 0.5053 0.5053 0.3078
Al6 0.6762 0.6762 0.0309
Al7 0.8457 0.8457 0.5713
Au1 0.1234 0.1234 0.8451
Au2 0.3470 0.3470 0.7322
Au3 0.6530 0.6530 0.2678
Au4 0.8766 0.8766 0.1549

Main lines, most intense first (10 to 90 degrees two-theta):
d (Å)	2θ (°)	I_rel
3.296	27.1	100
2.513	35.7	51
3.278	27.2	50
2.110	42.8	44
3.130	28.5	40
3.831	23.2	40
2.058	44.0	39
2.546	35.3	38
3.062	29.2	36
2.534	35.4	36



[5]
Calculated PXRD pattern
Compound: CaTbPd6
Radiation: Cu Kα X-rays
Structure: the PBE geometry in Alexandria
No peak broadening, texture or thermal motion is included.

Crystal structure
Cell lengths 5.9062, 5.9062, 4.7043 Å; angles 90.00, 90.00, 120.00 degrees
Element x y z (fractional)
Ca1 0.0000 0.0000 0.0000
Tb1 0.3333 0.6667 0.5000
Pd1 0.3448 0.1724 0.5000
Pd2 0.5049 0.0098 0.0000
Pd3 0.5049 0.4951 0.0000
Pd4 0.8276 0.1724 0.5000
Pd5 0.8276 0.6552 0.5000
Pd6 0.9902 0.4951 0.0000

Main lines, most intense first (10 to 90 degrees two-theta):
d (Å)	2θ (°)	I_rel
2.247	40.1	100
2.557	35.1	25
2.352	38.3	25
1.251	76.1	19
1.337	70.4	18
1.477	62.9	17
1.731	52.9	16
1.234	77.3	14
5.115	17.3	8
1.123	86.7	4



[6]
Calculated PXRD pattern
Compound: CaLaNdSc
Radiation: Cu Kα X-rays
Structure: the PBE geometry in Alexandria
No peak broadening, texture or thermal motion is included.

Crystal structure
Cell lengths 5.7569, 5.7569, 5.7569 Å; angles 60.00, 60.00, 60.00 degrees
Element x y z (fractional)
Ca1 0.0000 0.0000 0.0000
La1 0.2500 0.2500 0.2500
Nd1 0.7500 0.7500 0.7500
Sc1 0.5000 0.5000 0.5000

Main lines, most intense first (10 to 90 degrees two-theta):
d (Å)	2θ (°)	I_rel
2.878	31.1	100
1.662	55.3	38
4.071	21.8	32
2.035	44.5	18
1.287	73.6	16
1.820	50.1	15
1.439	64.8	12
2.350	38.3	11
1.357	69.2	7
1.227	77.8	4



[7]
Calculated PXRD pattern
Compound: Th7Tl2Sn2
Radiation: Cu Kα X-rays
Structure: the PBE geometry in Alexandria
No peak broadening, texture or thermal motion is included.

Crystal structure
Cell lengths 7.1470, 7.1470, 7.6011 Å; angles 90.00, 90.00, 107.34 degrees
Element x y z (fractional)
Th1 0.0000 0.0000 0.0000
Th2 0.0000 0.5000 0.2930
Th3 0.0000 0.5000 0.7070
Th4 0.5000 0.0000 0.2930
Th5 0.5000 0.0000 0.7070
Th6 0.5000 0.5000 0.2608
Th7 0.5000 0.5000 0.7392
Tl1 0.1712 0.1712 0.5000
Tl2 0.8288 0.8288 0.5000
Sn1 0.2779 0.7221 0.0000
Sn2 0.7221 0.2779 0.0000

Main lines, most intense first (10 to 90 degrees two-theta):
d (Å)	2θ (°)	I_rel
2.538	35.4	100
2.879	31.1	73
2.575	34.8	62
3.411	26.1	61
3.320	26.9	60
3.699	24.1	48
1.587	58.1	35
2.272	39.7	27
3.172	28.1	24
2.034	44.5	22



[8]
Calculated PXRD pattern
Compound: Li4NpSc3Te8
Radiation: Cu Kα X-rays
Structure: the PBE geometry in Alexandria
No peak broadening, texture or thermal motion is included.

Crystal structure
Cell lengths 8.5216, 8.5216, 8.5216 Å; angles 59.35, 59.35, 59.35 degrees
Element x y z (fractional)
Li1 0.0000 0.0000 0.0000
Li2 0.0000 0.5000 0.5000
Li3 0.5000 0.0000 0.5000
Li4 0.5000 0.5000 0.0000
Np1 0.5000 0.5000 0.5000
Sc1 0.0000 0.0000 0.5000
Sc2 0.0000 0.5000 0.0000
Sc3 0.5000 0.0000 0.0000
Te1 0.2371 0.7562 0.7562
Te2 0.2438 0.2438 0.7629
Te3 0.2438 0.7629 0.2438
Te4 0.2474 0.2474 0.2474
Te5 0.7526 0.7526 0.7526
Te6 0.7562 0.2371 0.7562
Te7 0.7562 0.7562 0.2371
Te8 0.7629 0.2438 0.2438

Main lines, most intense first (10 to 90 degrees two-theta):
d (Å)	2θ (°)	I_rel
2.998	29.8	100
2.130	42.4	38
2.109	42.9	36
3.450	25.8	28
1.725	53.1	19
6.992	12.7	17
1.346	69.9	17
3.604	24.7	16
1.335	70.5	16
1.499	61.9	12



[9]
Calculated PXRD pattern
Compound: Li12Ga2Cu
Radiation: Cu Kα X-rays
Structure: the PBE geometry in Alexandria
No peak broadening, texture or thermal motion is included.

Crystal structure
Cell lengths 5.3221, 5.3221, 20.2744 Å; angles 90.00, 90.00, 90.00 degrees
Element x y z (fractional)
Li1 0.0000 0.0000 0.0836
Li2 0.0000 0.0000 0.9164
Li3 0.0000 0.5000 0.0836
Li4 0.0000 0.5000 0.9164
Li5 0.0658 0.5658 0.4374
Li6 0.0658 0.9342 0.5626
Li7 0.2500 0.2500 0.2092
Li8 0.2500 0.2500 0.3372
Li9 0.2500 0.2500 0.6628
Li10 0.2500 0.2500 0.7908
Li11 0.4342 0.5658 0.5626
Li12 0.4342 0.9342 0.4374
Li13 0.5000 0.0000 0.0836
Li14 0.5000 0.0000 0.9164
Li15 0.5000 0.5000 0.0836
Li16 0.5000 0.5000 0.9164
Li17 0.5658 0.0658 0.5626
Li18 0.5658 0.4342 0.4374
Li19 0.7500 0.7500 0.2092
Li20 0.7500 0.7500 0.3372
Li21 0.7500 0.7500 0.6628
Li22 0.7500 0.7500 0.7908
Li23 0.9342 0.0658 0.4374
Li24 0.9342 0.4342 0.5626
Ga1 0.2500 0.7500 0.3037
Ga2 0.2500 0.7500 0.6963
Ga3 0.7500 0.2500 0.3037
Ga4 0.7500 0.2500 0.6963
Cu1 0.2500 0.7500 0.0000
Cu2 0.7500 0.2500 0.0000

Main lines, most intense first (10 to 90 degrees two-theta):
d (Å)	2θ (°)	I_rel
6.758	13.1	100
3.288	27.1	74
3.763	23.6	57
2.476	36.3	39
2.295	39.3	28
2.661	33.7	24
1.633	56.3	19
2.091	43.3	17
3.022	29.6	17
1.785	51.2	15



[10]
Calculated PXRD pattern
Compound: Sm2Y2Al4Cu
Radiation: Cu Kα X-rays
Structure: the PBE geometry in Alexandria
No peak broadening, texture or thermal motion is included.

Crystal structure
Cell lengths 6.6210, 6.6210, 6.6210 Å; angles 115.59, 115.59, 97.83 degrees
Element x y z (fractional)
Sm1 0.1921 0.1921 0.0000
Sm2 0.8079 0.8079 0.0000
Y1 0.2500 0.7500 0.5000
Y2 0.7500 0.2500 0.5000
Al1 0.2656 0.2656 0.5312
Al2 0.2656 0.7344 0.0000
Al3 0.7344 0.2656 0.0000
Al4 0.7344 0.7344 0.4688
Cu1 0.5000 0.5000 0.0000

Main lines, most intense first (10 to 90 degrees two-theta):
d (Å)	2θ (°)	I_rel
2.741	32.7	100
3.529	25.2	98
2.495	36.0	84
2.683	33.4	58
2.136	42.3	53
4.990	17.8	39
1.484	62.6	29
1.764	51.8	29
1.623	56.7	28
4.351	20.4	21



[11]
Calculated PXRD pattern
Compound: AcZn2
Radiation: Cu Kα X-rays
Structure: the PBE geometry in Alexandria
No peak broadening, texture or thermal motion is included.

Crystal structure
Cell lengths 5.8464, 5.8464, 5.8464 Å; angles 60.00, 60.00, 60.00 degrees
Element x y z (fractional)
Ac1 0.1250 0.1250 0.1250
Ac2 0.8750 0.8750 0.8750
Zn1 0.0000 0.5000 0.5000
Zn2 0.5000 0.0000 0.5000
Zn3 0.5000 0.5000 0.0000
Zn4 0.5000 0.5000 0.5000

Main lines, most intense first (10 to 90 degrees two-theta):
d (Å)	2θ (°)	I_rel
2.493	36.0	100
2.923	30.6	72
1.591	58.0	34
1.688	54.4	30
1.462	63.7	24
4.774	18.6	22
1.105	88.5	16
1.307	72.3	13
2.387	37.7	12
1.261	75.4	12



[12]
Calculated PXRD pattern
Compound: Nd2Ho3Sc3
Radiation: Cu Kα X-rays
Structure: the PBE geometry in Alexandria
No peak broadening, texture or thermal motion is included.

Crystal structure
Cell lengths 8.3208, 8.3208, 5.7458 Å; angles 109.58, 109.58, 39.57 degrees
Element x y z (fractional)
Nd1 0.2472 0.2472 0.2898
Nd2 0.7528 0.7528 0.7102
Ho1 0.3769 0.3769 0.9085
Ho2 0.5000 0.5000 0.5000
Ho3 0.6231 0.6231 0.0915
Sc1 0.0000 0.0000 0.0000
Sc2 0.1206 0.1206 0.6555
Sc3 0.8794 0.8794 0.3445

Main lines, most intense first (10 to 90 degrees two-theta):
d (Å)	2θ (°)	I_rel
2.717	33.0	100
2.695	33.2	96
2.816	31.8	57
2.873	31.1	51
5.257	16.9	48
2.011	45.1	36
2.525	35.6	29
3.697	24.1	26
1.534	60.3	25
1.606	57.4	20



[13]
Calculated PXRD pattern
Compound: SrCdPb4
Radiation: Cu Kα X-rays
Structure: the PBE geometry in Alexandria
No peak broadening, texture or thermal motion is included.

Crystal structure
Cell lengths 11.1713, 11.1713, 6.0812 Å; angles 105.62, 105.62, 31.58 degrees
Element x y z (fractional)
Sr1 0.2481 0.7519 0.7500
Sr2 0.7519 0.2481 0.2500
Cd1 0.0000 0.5000 0.0000
Cd2 0.5000 0.0000 0.5000
Pb1 0.0756 0.5811 0.5795
Pb2 0.1536 0.6478 0.1506
Pb3 0.3522 0.8464 0.3494
Pb4 0.4189 0.9244 0.9205
Pb5 0.5811 0.0756 0.0795
Pb6 0.6478 0.1536 0.6506
Pb7 0.8464 0.3522 0.8494
Pb8 0.9244 0.4189 0.4205

Main lines, most intense first (10 to 90 degrees two-theta):
d (Å)	2θ (°)	I_rel
3.040	29.4	100
2.689	33.3	62
2.683	33.4	61
2.150	42.0	39
1.680	54.6	31
1.677	54.7	30
1.360	69.1	18
2.212	40.8	15
1.520	60.9	13
5.160	17.2	13